[1]
This entry pairs a crystal structure of CsRuCl5 with its simulated X-ray diffraction stick pattern. Radiation: Cu Kα, 1.54184 Å. Structure: a crystal structure in Alexandria, relaxed with PBE.
Intensities are scaled so that the largest is 100.

Largest 6 diffraction maxima, by angle, 2θ = 10–90°:
- d 6.032, 2θ 14.7, intensity 100.0
- d 4.152, 2θ 21.4, intensity 69.5
- d 3.420, 2θ 26.1, intensity 60.4
- d 3.223, 2θ 27.7, intensity 57.6
- d 2.365, 2θ 38.0, intensity 44.6
- d 1.710, 2θ 53.6, intensity 30.4

Cell and atoms:
```
CsRuCl5
1.0
6.518 -3.813 0.000
6.518 3.813 0.000
-3.752 0.000 9.161
Cs Ru Cl
2 2 10
direct
0.002 0.998 0.750
0.998 0.002 0.250
0.500 0.500 0.000
0.500 0.500 0.500
0.148 0.581 0.942
0.149 0.577 0.422
0.419 0.852 0.558
0.423 0.851 0.078
0.471 0.529 0.750
0.529 0.471 0.250
0.577 0.149 0.922
0.581 0.148 0.442
0.851 0.423 0.578
0.852 0.419 0.058
```

***

[2]
This entry pairs a crystal structure of YAsP2 with its simulated X-ray diffraction stick pattern. Radiation: Cu Kα, 1.54184 Å. Structure: a crystal structure in Alexandria, relaxed with PBE.
Intensities are scaled so that the largest is 100.

Largest 6 diffraction maxima, by angle, 2θ = 10–90°:
- d 4.249, 2θ 20.9, intensity 12.4
- d 3.267, 2θ 27.3, intensity 26.1
- d 2.462, 2θ 36.5, intensity 25.1
- d 2.448, 2θ 36.7, intensity 30.8
- d 2.381, 2θ 37.8, intensity 100.0
- d 1.400, 2θ 66.8, intensity 17.8

Cell and atoms:
```
YAsP2
1.0
3.536 0.000 0.000
0.000 4.897 0.000
0.000 0.000 8.545
Y As P
2 2 4
direct
0.000 0.000 0.000
0.500 0.500 0.500
0.000 0.500 0.207
0.500 0.000 0.707
0.000 0.000 0.486
0.000 0.500 0.792
0.500 0.000 0.292
0.500 0.500 0.986
```

***

[3]
This entry pairs a crystal structure of K3In2Hg2Bi4 with its simulated X-ray diffraction stick pattern. Radiation: Cu Kα, 1.54184 Å. Structure: a crystal structure in Alexandria, relaxed with PBE.
Intensities are scaled so that the largest is 100.

Largest 6 diffraction maxima, by angle, 2θ = 10–90°:
- d 6.292, 2θ 14.1, intensity 39.5
- d 4.719, 2θ 18.8, intensity 55.3
- d 4.388, 2θ 20.2, intensity 57.3
- d 3.213, 2θ 27.8, intensity 63.1
- d 2.533, 2θ 35.4, intensity 100.0
- d 2.232, 2θ 40.4, intensity 51.3

Cell and atoms:
```
K3In2Hg2Bi4
1.0
5.067 0.000 0.000
-2.533 4.388 0.000
0.000 0.000 18.877
K In Hg Bi
3 2 2 4
direct
0.000 0.000 0.000
0.000 0.000 0.273
0.000 0.000 0.727
0.333 0.667 0.557
0.667 0.333 0.443
0.333 0.667 0.151
0.667 0.333 0.849
0.333 0.667 0.394
0.333 0.667 0.867
0.667 0.333 0.133
0.667 0.333 0.606
```

***

[4]
This entry pairs a crystal structure of RbAlH5 with its simulated X-ray diffraction stick pattern. Radiation: Cu Kα, 1.54184 Å. Structure: a crystal structure in Alexandria, relaxed with PBE.
Intensities are scaled so that the largest is 100.

Largest 6 diffraction maxima, by angle, 2θ = 10–90°:
- d 5.542, 2θ 16.0, intensity 100.0
- d 3.443, 2θ 25.9, intensity 99.0
- d 3.274, 2θ 27.2, intensity 39.6
- d 3.031, 2θ 29.5, intensity 57.5
- d 2.829, 2θ 31.6, intensity 49.1
- d 2.819, 2θ 31.7, intensity 34.6

Cell and atoms:
```
RbAlH5
1.0
-3.274 3.295 5.128
3.274 -3.295 5.128
3.274 3.295 -5.128
Rb Al H
2 2 10
direct
0.393 0.143 0.250
0.607 0.857 0.750
0.000 0.500 0.500
0.500 0.500 0.000
0.000 0.249 0.249
0.000 0.751 0.751
0.023 0.346 0.677
0.169 0.346 0.823
0.329 0.579 0.750
0.500 0.249 0.749
0.500 0.751 0.251
0.671 0.421 0.250
0.831 0.654 0.177
0.977 0.654 0.323
```

***

[5]
This entry pairs a crystal structure of AcSmY2P4 with its simulated X-ray diffraction stick pattern. Radiation: Cu Kα, 1.54184 Å. Structure: a crystal structure in Alexandria, relaxed with PBE.
Intensities are scaled so that the largest is 100.

Largest 6 diffraction maxima, by angle, 2θ = 10–90°:
- d 3.390, 2θ 26.3, intensity 76.5
- d 2.936, 2θ 30.4, intensity 100.0
- d 2.076, 2θ 43.6, intensity 73.2
- d 1.770, 2θ 51.6, intensity 38.5
- d 1.695, 2θ 54.1, intensity 25.6
- d 1.313, 2θ 71.9, intensity 27.2

Cell and atoms:
```
AcSmY2P4
1.0
7.188 0.000 0.000
0.000 4.151 0.000
-2.389 0.000 6.784
Ac Sm Y P
1 1 2 4
direct
0.000 0.000 0.000
0.000 0.500 0.500
0.500 0.000 0.500
0.500 0.500 0.000
0.261 0.000 0.746
0.267 0.500 0.264
0.733 0.500 0.736
0.739 0.000 0.254
```

***

[6]
This entry pairs a crystal structure of TbSm2Er6Sc3 with its simulated X-ray diffraction stick pattern. Radiation: Cu Kα, 1.54184 Å. Structure: a crystal structure in Alexandria, relaxed with PBE.
Intensities are scaled so that the largest is 100.

Largest 6 diffraction maxima, by angle, 2θ = 10–90°:
- d 2.841, 2θ 31.5, intensity 100.0
- d 2.817, 2θ 31.8, intensity 31.4
- d 2.455, 2θ 36.6, intensity 65.8
- d 1.741, 2θ 52.6, intensity 23.7
- d 1.731, 2θ 52.9, intensity 21.5
- d 1.481, 2θ 62.7, intensity 26.5

Cell and atoms:
```
TbSm2Er6Sc3
1.0
3.017 -5.223 0.000
3.017 5.223 0.000
-2.009 0.000 11.269
Tb Sm Er Sc
1 2 6 3
direct
0.000 0.000 0.000
0.333 0.667 0.000
0.667 0.333 0.000
0.087 0.420 0.260
0.246 0.246 0.740
0.420 0.087 0.260
0.580 0.913 0.740
0.754 0.754 0.260
0.913 0.580 0.740
0.166 0.834 0.500
0.500 0.500 0.500
0.834 0.166 0.500
```

***

[7]
This entry pairs a crystal structure of CaNpRh2 with its simulated X-ray diffraction stick pattern. Radiation: Cu Kα, 1.54184 Å. Structure: a crystal structure in Alexandria, relaxed with PBE.
Intensities are scaled so that the largest is 100.

Largest 6 diffraction maxima, by angle, 2θ = 10–90°:
- d 7.254, 2θ 12.2, intensity 82.2
- d 2.462, 2θ 36.5, intensity 100.0
- d 2.370, 2θ 38.0, intensity 48.8
- d 2.253, 2θ 40.0, intensity 20.0
- d 1.961, 2θ 46.3, intensity 24.3
- d 1.386, 2θ 67.6, intensity 32.7

Cell and atoms:
```
CaNpRh2
1.0
3.352 0.000 0.000
0.000 3.352 0.000
0.000 0.000 7.254
Ca Np Rh
1 1 2
direct
0.000 0.000 0.000
0.000 0.000 0.500
0.500 0.500 0.285
0.500 0.500 0.715
```

***

[8]
This entry pairs a crystal structure of Ba3Sr3Ca2 with its simulated X-ray diffraction stick pattern. Radiation: Cu Kα, 1.54184 Å. Structure: a crystal structure in Alexandria, relaxed with PBE.
Intensities are scaled so that the largest is 100.

Largest 6 diffraction maxima, by angle, 2θ = 10–90°:
- d 3.487, 2θ 25.5, intensity 100.0
- d 3.041, 2θ 29.4, intensity 17.5
- d 3.029, 2θ 29.5, intensity 17.3
- d 2.991, 2θ 29.9, intensity 16.7
- d 2.130, 2θ 42.4, intensity 25.1
- d 1.831, 2θ 49.8, intensity 15.6

Cell and atoms:
```
Ba3Sr3Ca2
1.0
6.058 0.000 0.000
0.000 6.083 0.000
0.000 0.000 11.962
Ba Sr Ca
3 3 2
direct
0.000 0.000 0.000
0.000 0.000 0.500
0.500 0.500 0.000
0.000 0.500 0.254
0.000 0.500 0.746
0.500 0.500 0.500
0.500 0.000 0.254
0.500 0.000 0.746
```